[1]
La2ZnInNi6: theoretical powder XRD pattern (λ = 1.5418 Å (Cu Kα)), based on a GGA-PBE-relaxed structure.
No peak broadening, texture or thermal motion is included.

Principal peaks in the range 10° ≤ 2θ ≤ 90°, by intensity:
Position (°2θ)	I/Imax
39.14	100
27.40	80
56.55	65
33.73	63
48.44	33
67.49	22
70.93	21
77.61	17
63.96	15
84.13	10

Cell and atoms:
Cell: 6.509 6.509 6.509 Å, 60.00 60.00 60.00°
Fractional coordinates of all 10 atoms:
La  0.250  0.250  0.250
La  0.750  0.750  0.750
Zn  0.000  0.000  0.000
In  0.500  0.500  0.500
Ni  0.240  0.240  0.760
Ni  0.240  0.760  0.240
Ni  0.240  0.760  0.760
Ni  0.760  0.240  0.240
Ni  0.760  0.240  0.760
Ni  0.760  0.760  0.240

=====

[2]
LaInO: theoretical powder XRD pattern (λ = 1.5418 Å (Cu Kα)), based on a GGA-PBE-relaxed structure.
No peak broadening, texture or thermal motion is included.

Principal peaks in the range 10° ≤ 2θ ≤ 90°, by intensity:
Position (°2θ)	I/Imax
30.08	100
30.72	49
54.22	37
44.00	24
44.40	14
53.01	13
58.22	12
75.76	11
88.67	9
72.65	8

Cell and atoms:
Cell: 4.116 4.116 8.586 Å, 90.00 90.00 90.00°
Fractional coordinates of all 6 atoms:
La  0.250  0.250  0.139
La  0.750  0.750  0.861
In  0.250  0.250  0.578
In  0.750  0.750  0.422
O  0.250  0.750  0.000
O  0.750  0.250  0.000

=====

[3]
La6In2OsO: theoretical powder XRD pattern (λ = 1.5418 Å (Cu Kα)), based on a GGA-PBE-relaxed structure.
No peak broadening, texture or thermal motion is included.

Principal peaks in the range 10° ≤ 2θ ≤ 90°, by intensity:
Position (°2θ)	I/Imax
33.43	100
28.85	90
48.01	71
56.98	38
80.06	30
59.77	24
89.59	23
16.54	21
77.65	15
27.60	14

Cell and atoms:
Cell: 7.583 10.715 7.581 Å, 90.00 90.00 90.00°
Fractional coordinates of all 20 atoms:
La  0.009  0.250  0.008
La  0.009  0.250  0.490
La  0.250  0.010  0.250
La  0.250  0.490  0.250
La  0.491  0.250  0.008
La  0.491  0.250  0.490
La  0.509  0.750  0.510
La  0.509  0.750  0.992
La  0.750  0.510  0.750
La  0.750  0.990  0.750
La  0.991  0.750  0.510
La  0.991  0.750  0.992
In  0.250  0.000  0.750
In  0.250  0.500  0.750
In  0.750  0.000  0.250
In  0.750  0.500  0.250
Os  0.250  0.750  0.251
Os  0.750  0.250  0.749
O  0.250  0.250  0.249
O  0.750  0.750  0.751

=====

[4]
La4InPbO: theoretical powder XRD pattern (λ = 1.5418 Å (Cu Kα)), based on a GGA-PBE-relaxed structure.
No peak broadening, texture or thermal motion is included.

Principal peaks in the range 10° ≤ 2θ ≤ 90°, by intensity:
Position (°2θ)	I/Imax
32.73	100
27.77	87
36.99	70
48.11	40
29.65	36
30.82	31
25.92	26
48.89	18
39.52	15
63.92	14

Cell and atoms:
Cell: 9.672 9.672 6.864 Å, 90.00 90.00 138.30°
Fractional coordinates of all 14 atoms:
La  0.000  0.500  0.000
La  0.000  0.500  0.500
La  0.063  0.937  0.750
La  0.420  0.580  0.750
La  0.500  0.000  0.000
La  0.500  0.000  0.500
La  0.580  0.420  0.250
La  0.937  0.063  0.250
In  0.116  0.884  0.250
In  0.884  0.116  0.750
Pb  0.390  0.610  0.250
Pb  0.610  0.390  0.750
O  0.286  0.714  0.750
O  0.714  0.286  0.250